The following is a theoretical powder diffraction line list of Ho4SnRh2. It was derived from the PBE geometry in Alexandria, using Cu Ka.
Peak positions follow from Bragg's law for the DFT cell and can differ from measured ones.

The 10 most intense peaks (2θ = 10–90°), by intensity:
2θ/deg	I/Imax
33.2	100.0
32.1	74.5
36.5	68.6
32.5	65.5
33.4	65.4
35.0	62.3
33.0	57.2
29.2	51.2
40.7	49.9
28.9	36.1

```
Ho4SnRh2
1.0
6.8507 0.0000 0.0000
-1.7370 6.7961 0.0000
-2.5503 -3.3990 7.3588
Ho Sn Rh
8 2 4
direct
0.0000 0.0000 0.0000
0.0449 0.7203 0.5834
0.3090 0.1170 0.4474
0.3815 0.5583 0.2595
0.4573 0.5757 0.8425
0.5363 0.1550 0.0014
0.7827 0.0896 0.3953
0.9211 0.4209 0.8421
0.6038 0.8983 0.6560
0.8701 0.6638 0.1869
0.0055 0.3441 0.2727
0.1502 0.1666 0.7581
0.3127 0.8298 0.0850
0.6551 0.4933 0.5697
```

The following is a theoretical powder diffraction line list of Sm2Tm5Tl. It was derived from the PBE geometry in Alexandria, using Cu Ka.
Peak positions follow from Bragg's law for the DFT cell and can differ from measured ones.

The 10 most intense peaks (2θ = 10–90°), by intensity:
2θ/deg	I/Imax
31.5	100.0
36.4	33.6
52.6	29.6
62.5	27.8
36.6	16.8
62.7	14.1
86.1	8.7
88.8	8.2
65.7	6.1
65.6	6.0

```
Sm2Tm5Tl
1.0
6.9673 0.0000 0.0000
0.0000 13.9645 0.0000
0.0000 0.0000 4.9098
Sm Tm Tl
4 10 2
direct
0.2443 0.1292 0.0000
0.2557 0.6292 0.0000
0.7443 0.3708 0.0000
0.7557 0.8708 0.0000
0.0000 0.0000 0.5000
0.0056 0.2561 0.5000
0.2438 0.8762 0.0000
0.2562 0.3762 0.0000
0.4944 0.7561 0.5000
0.5000 0.5000 0.5000
0.5056 0.2439 0.5000
0.7438 0.6238 0.0000
0.7562 0.1238 0.0000
0.9944 0.7439 0.5000
0.0000 0.5000 0.5000
0.5000 0.0000 0.5000
```

The following is a theoretical powder diffraction line list of NdTmNi. It was derived from the PBE geometry in Alexandria, using Cu Ka.
Peak positions follow from Bragg's law for the DFT cell and can differ from measured ones.

The 10 most intense peaks (2θ = 10–90°), by intensity:
2θ/deg	I/Imax
33.4	100.0
33.0	76.4
36.7	50.5
30.1	48.7
31.6	43.9
28.4	41.8
41.5	32.6
26.5	26.1
49.2	26.1
34.7	23.3

```
NdTmNi
1.0
3.7015 0.0000 0.0000
-1.8500 6.0476 0.0000
-1.8482 -1.2484 6.6121
Nd Tm Ni
2 2 2
direct
0.0866 0.2529 0.4212
0.9134 0.7471 0.5788
0.1976 0.7822 0.1130
0.8024 0.2178 0.8870
0.4539 0.5754 0.8321
0.5461 0.4246 0.1679
```

The following is a theoretical powder diffraction line list of Y4Ga2Hg5. It was derived from the PBE geometry in Alexandria, using Cu Ka.
Peak positions follow from Bragg's law for the DFT cell and can differ from measured ones.

The 10 most intense peaks (2θ = 10–90°), by intensity:
2θ/deg	I/Imax
33.0	100.0
34.9	99.3
23.7	92.9
32.5	89.0
33.2	83.6
31.5	70.3
48.4	55.9
36.4	38.3
35.8	37.2
39.8	36.7

```
Y4Ga2Hg5
1.0
7.7338 0.0000 0.0000
0.0000 3.7601 0.0000
-0.3761 0.0000 9.3021
Y Ga Hg
4 2 5
direct
0.1944 0.0000 0.3617
0.2471 0.0000 0.9181
0.7529 0.0000 0.0819
0.8056 0.0000 0.6383
0.0654 0.5000 0.1264
0.9346 0.5000 0.8736
0.1481 0.5000 0.6356
0.4392 0.5000 0.1682
0.5000 0.5000 0.5000
0.5608 0.5000 0.8318
0.8519 0.5000 0.3644
```

The following is a theoretical powder diffraction line list of Sr4Tl3Sn. It was derived from the PBE geometry in Alexandria, using Cu Ka.
Peak positions follow from Bragg's law for the DFT cell and can differ from measured ones.

The 10 most intense peaks (2θ = 10–90°), by intensity:
2θ/deg	I/Imax
30.9	100.0
54.9	36.6
44.2	18.8
21.7	13.4
73.0	11.5
89.5	10.8
64.3	8.3
89.6	7.2
73.2	5.7
49.8	5.4

```
Sr4Tl3Sn
1.0
8.6702 -2.8970 0.0000
8.6702 2.8970 0.0000
-1.9253 0.0000 5.4644
Sr Tl Sn
4 3 1
direct
0.1249 0.1249 0.1248
0.3751 0.3751 0.3753
0.6249 0.6249 0.6247
0.8751 0.8751 0.8752
0.0000 0.0000 0.5000
0.2485 0.2485 0.7483
0.7515 0.7515 0.2517
0.5000 0.5000 0.0000
```

The following is a theoretical powder diffraction line list of SrMg14W. It was derived from the PBE geometry in Alexandria, using Cu Ka.
Peak positions follow from Bragg's law for the DFT cell and can differ from measured ones.

The 10 most intense peaks (2θ = 10–90°), by intensity:
2θ/deg	I/Imax
36.5	100.0
15.8	61.8
23.4	47.2
32.0	31.9
34.6	22.8
32.7	20.9
47.8	20.7
18.0	18.6
17.1	18.1
68.4	17.7

```
SrMg14W
1.0
6.4658 0.0000 0.0000
-3.2329 5.5995 0.0000
0.0000 0.0000 10.3601
Sr Mg W
1 14 1
direct
0.0000 0.0000 0.0000
0.0150 0.5075 0.0000
0.1630 0.3260 0.2751
0.1630 0.3260 0.7249
0.1630 0.8370 0.2751
0.1630 0.8370 0.7249
0.4925 0.5075 0.0000
0.4925 0.9850 0.0000
0.5048 0.0097 0.5000
0.5048 0.4952 0.5000
0.6667 0.3333 0.2353
0.6667 0.3333 0.7647
0.6740 0.8370 0.2751
0.6740 0.8370 0.7249
0.9903 0.4952 0.5000
0.0000 0.0000 0.5000
```

The following is a theoretical powder diffraction line list of SmHo2Pd9. It was derived from the PBE geometry in Alexandria, using Cu Ka.
Peak positions follow from Bragg's law for the DFT cell and can differ from measured ones.

The 10 most intense peaks (2θ = 10–90°), by intensity:
2θ/deg	I/Imax
37.7	100.0
43.8	32.8
63.7	31.6
76.4	24.8
43.9	16.1
76.5	12.1
80.5	10.7
21.5	3.2
30.6	2.7
54.4	1.2

```
SmHo2Pd9
1.0
4.1375 0.0000 0.0000
0.0000 4.1375 0.0000
0.0000 0.0000 12.3806
Sm Ho Pd
1 2 9
direct
0.0000 0.0000 0.0000
0.0000 0.0000 0.3358
0.0000 0.0000 0.6642
0.0000 0.5000 0.1705
0.0000 0.5000 0.5000
0.0000 0.5000 0.8295
0.5000 0.0000 0.1705
0.5000 0.0000 0.5000
0.5000 0.0000 0.8295
0.5000 0.5000 0.0000
0.5000 0.5000 0.3345
0.5000 0.5000 0.6655
```

The following is a theoretical powder diffraction line list of FeTcIr2. It was derived from the PBE geometry in Alexandria, using Cu Ka.
Peak positions follow from Bragg's law for the DFT cell and can differ from measured ones.

The 10 most intense peaks (2θ = 10–90°), by intensity:
2θ/deg	I/Imax
41.0	100.0
47.5	65.1
40.8	50.6
41.1	49.6
20.1	48.3
69.5	41.5
47.8	32.0
84.1	31.3
69.9	20.4
39.1	18.9

```
FeTcIr2
1.0
4.4959 -1.3519 0.0000
4.4959 1.3519 0.0000
-0.8180 0.0000 4.5791
Fe Tc Ir
1 1 2
direct
0.0000 0.0000 0.0000
0.5000 0.5000 0.5000
0.2507 0.2507 0.7525
0.7493 0.7493 0.2475
```

The following is a theoretical powder diffraction line list of Li6GaAu6. It was derived from the PBE geometry in Alexandria, using Cu Ka.
Peak positions follow from Bragg's law for the DFT cell and can differ from measured ones.

The 10 most intense peaks (2θ = 10–90°), by intensity:
2θ/deg	I/Imax
32.6	100.0
28.7	48.0
39.5	32.5
21.6	25.2
55.8	23.9
44.0	23.0
58.3	18.6
37.8	18.5
77.8	18.3
68.4	13.1

```
Li6GaAu6
1.0
2.7406 -4.7540 0.0000
2.7406 4.7540 0.0000
0.0000 0.0000 8.2396
Li Ga Au
6 1 6
direct
0.0000 0.0000 0.2493
0.0000 0.0000 0.7507
0.0000 0.5000 0.2493
0.0000 0.5000 0.7507
0.5000 0.0000 0.2493
0.5000 0.0000 0.7507
0.5000 0.5000 0.0000
0.1665 0.8335 0.0000
0.1666 0.8334 0.5000
0.5000 0.5000 0.3280
0.5000 0.5000 0.6720
0.8335 0.1665 0.0000
0.8334 0.1666 0.5000
```

The following is a theoretical powder diffraction line list of NaIn6Bi4. It was derived from the PBE geometry in Alexandria, using Cu Ka.
Peak positions follow from Bragg's law for the DFT cell and can differ from measured ones.

The 10 most intense peaks (2θ = 10–90°), by intensity:
2θ/deg	I/Imax
34.2	100.0
27.5	83.3
30.4	66.9
38.8	63.2
36.6	43.0
21.9	42.8
39.7	37.3
22.4	35.5
33.1	30.5
23.0	23.5

```
NaIn6Bi4
1.0
4.6601 -4.5385 0.0000
4.6601 4.5385 0.0000
-3.8562 0.0000 8.1125
Na In Bi
1 6 4
direct
0.0000 0.0000 0.0000
0.0840 0.6211 0.6512
0.3585 0.3585 0.3459
0.5047 0.9952 0.0024
0.6211 0.0840 0.6512
0.9309 0.9309 0.3496
0.9952 0.5047 0.0024
0.1574 0.1574 0.7364
0.3945 0.8268 0.2668
0.6149 0.6149 0.7261
0.8268 0.3945 0.2668
```

The following is a theoretical powder diffraction line list of PaTaGa3. It was derived from the PBE geometry in Alexandria, using Cu Ka.
Peak positions follow from Bragg's law for the DFT cell and can differ from measured ones.

The 10 most intense peaks (2θ = 10–90°), by intensity:
2θ/deg	I/Imax
28.1	100.0
36.8	65.4
35.3	44.1
31.4	40.4
58.2	31.9
42.7	27.2
23.3	26.2
47.5	25.1
37.5	21.5
47.0	20.1

```
PaTaGa3
1.0
3.1726 1.8317 8.8827
-3.1726 1.8317 8.8827
0.0000 -3.6634 8.8827
Pa Ta Ga
3 3 9
direct
0.0000 0.0000 0.0000
0.2264 0.2264 0.2264
0.7736 0.7736 0.7736
0.3980 0.3980 0.3980
0.5000 0.5000 0.5000
0.6020 0.6020 0.6020
0.0000 0.5000 0.5000
0.1460 0.7557 0.7557
0.2443 0.2443 0.8540
0.2443 0.8540 0.2443
0.5000 0.0000 0.5000
0.5000 0.5000 0.0000
0.7557 0.1460 0.7557
0.7557 0.7557 0.1460
0.8540 0.2443 0.2443
```

The following is a theoretical powder diffraction line list of Ac4TlGeI2. It was derived from the PBE geometry in Alexandria, using Cu Ka.
Peak positions follow from Bragg's law for the DFT cell and can differ from measured ones.

The 10 most intense peaks (2θ = 10–90°), by intensity:
2θ/deg	I/Imax
26.3	100.0
37.5	49.7
46.6	14.4
37.8	13.8
37.3	11.1
61.1	10.1
61.0	9.9
68.0	8.9
54.1	7.7
46.2	7.2

```
Ac4TlGeI2
1.0
8.3310 0.0000 0.0000
0.0000 4.7605 0.0000
-2.7575 0.0000 7.8832
Ac Tl Ge I
4 1 1 2
direct
0.2279 0.0000 0.2090
0.2510 0.5000 0.7838
0.7490 0.5000 0.2162
0.7721 0.0000 0.7910
0.5000 0.0000 0.0000
0.0000 0.5000 0.0000
0.0000 0.0000 0.5000
0.5000 0.5000 0.5000
```

The following is a theoretical powder diffraction line list of BeCuTeI2. It was derived from the PBE geometry in Alexandria, using Cu Ka.
Peak positions follow from Bragg's law for the DFT cell and can differ from measured ones.

The 10 most intense peaks (2θ = 10–90°), by intensity:
2θ/deg	I/Imax
29.8	100.0
33.7	38.2
57.8	29.7
50.3	24.0
36.2	15.6
48.4	13.5
61.9	12.7
61.3	12.4
81.6	10.9
78.7	6.0

```
BeCuTeI2
1.0
5.3235 0.0000 0.0000
0.0000 5.3235 0.0000
0.0000 0.0000 4.9573
Be Cu Te I
1 1 1 2
direct
0.0000 0.0000 0.0000
0.5000 0.5000 0.5000
0.0000 0.0000 0.5000
0.0000 0.5000 0.0000
0.5000 0.0000 0.0000
```